1.
V5O9: simulated X-ray powder pattern (copper Kα), based on a GGA+U-relaxed structure.
Kinematic intensities with the Lorentz-polarization factor, no thermal factor.

Cell and atoms:
```
V5O9
1.0
7.118 0.000 0.000
2.845 8.043 0.000
3.529 1.957 10.447
V O
20 36
Cartesian
0.884 0.521 2.566
12.608 9.480 7.881
3.228 2.425 4.500
5.029 3.441 9.617
6.040 6.390 9.296
4.292 5.469 4.075
3.883 3.656 1.214
5.677 4.587 6.387
4.976 6.493 0.714
6.763 7.449 5.969
4.420 0.503 2.623
9.072 9.498 7.823
6.729 2.551 4.478
8.515 3.508 9.732
7.814 5.414 4.059
9.609 6.344 9.232
9.200 4.532 6.371
7.452 3.611 1.150
8.463 6.559 0.830
10.264 7.575 5.947
3.860 4.010 5.633
2.142 3.043 0.440
1.341 0.368 0.626
4.890 6.531 5.670
3.125 1.294 5.887
3.159 5.503 0.471
4.416 6.620 2.743
6.175 7.545 7.979
2.662 1.235 3.073
5.379 4.851 8.296
3.614 3.943 2.946
4.449 2.165 8.284
6.023 4.492 4.261
4.993 1.837 3.912
7.821 5.490 9.489
6.803 2.733 9.148
7.144 7.250 4.068
8.920 8.127 9.287
4.572 1.873 1.159
6.348 2.751 6.379
6.689 7.267 1.299
5.671 4.511 0.958
8.499 8.164 6.535
7.469 5.509 6.185
9.043 7.835 2.163
9.878 6.058 7.501
8.113 5.149 2.150
10.829 8.766 7.374
7.317 2.455 2.468
9.076 3.381 7.704
10.333 4.497 9.975
10.367 8.706 4.560
8.602 3.469 4.776
12.151 9.632 9.820
11.350 6.957 10.006
9.632 5.991 4.814
```

Principal peaks in the range 10 to 80 degrees two-theta, by angle:
(0 1 -2), 22.1 deg, d 4.030, intensity 48; (2 1 2), 26.4 deg, d 3.371, intensity 92; (2 2 2), 29.1 deg, d 3.072, intensity 75; (0 2 -2), 30.8 deg, d 2.905, intensity 100; (0 1 4), 34.1 deg, d 2.628, intensity 56; (0 3 2), 35.2 deg, d 2.549, intensity 52; (2 0 -2), 36.0 deg, d 2.496, intensity 43; (1 -3 0), 40.3 deg, d 2.239, intensity 50; (2 3 6), 53.2 deg, d 1.723, intensity 70; (4 0 2), 54.9 deg, d 1.673, intensity 85

2.
Li9Mn2Co5O16: simulated X-ray powder pattern (copper Kα), based on a GGA+U-relaxed structure.
Kinematic intensities with the Lorentz-polarization factor, no thermal factor.

Cell and atoms:
```
Li9Mn2Co5O16
1.0
2.973 0.000 0.000
-0.434 5.943 0.000
-0.272 -0.206 16.160
Li Mn Co O
9 2 5 16
Cartesian
0.000 0.000 0.000
-0.419 2.816 12.121
-0.280 2.914 4.024
-0.329 2.813 8.149
1.048 4.350 6.148
1.340 1.450 2.051
0.922 4.289 14.118
1.210 1.393 10.036
2.820 -0.048 8.163
2.756 2.970 0.008
1.262 1.442 6.141
1.117 4.444 2.048
1.148 1.283 14.131
1.005 4.277 10.032
2.876 -0.038 4.046
2.763 -0.154 12.110
-0.238 2.714 6.067
-0.160 -0.125 14.039
-0.176 3.020 1.978
-0.312 2.963 10.133
1.223 1.341 4.134
1.076 4.429 0.115
1.104 1.245 12.231
1.013 4.376 8.291
1.262 1.362 7.948
1.029 4.390 11.978
1.164 4.491 3.986
1.190 1.304 16.076
2.442 2.722 14.204
2.784 0.083 5.993
2.434 5.838 2.137
2.302 5.734 10.215
```

Principal peaks in the range 10 to 80 degrees two-theta, by angle:
(0 1 -2), 18.4 deg, d 4.817, intensity 100; (-1 1 2), 34.5 deg, d 2.598, intensity 19; (1 1 2), 36.8 deg, d 2.442, intensity 12; (0 1 6), 36.8 deg, d 2.442, intensity 11; (0 2 -4), 37.3 deg, d 2.410, intensity 8; (1 -2 0), 41.4 deg, d 2.180, intensity 33; (1 2 0), 44.7 deg, d 2.026, intensity 26; (0 0 8), 44.9 deg, d 2.020, intensity 25; (0 4 0), 62.5 deg, d 1.485, intensity 15; (2 0 0), 62.7 deg, d 1.482, intensity 8